Theoretical powder XRD pattern
Compound: CsInIBr2
Radiation: Cu Kα X-rays
Structure: a PBE-relaxed structure
Lines closer than 0.1° are merged.

Peak list (12 most intense, 5° ≤ 2θ ≤ 70°, most intense first)
index  d_spacing  two_theta  I/Imax
2 0 0  2.904  30.78  100
1 1 1  3.406  26.16  98
2 0 2  2.103  43.02  78
0 0 2  3.048  29.30  57
2 2 2  1.703  53.83  40
2 2 0  2.054  44.09  36
1 1 0  4.108  21.64  36
3 1 1  1.759  51.99  28
1 0 1  4.205  21.13  26
1 0 0  5.809  15.25  24
1 1 2  2.448  36.72  19
2 0 4  1.349  69.68  18

Structural model:
abc: 5.809 5.809 6.096
angles: 90.00 90.00 90.00
Element x y z (fractional)
Cs: 0.000 0.000 0.000
In: 0.500 0.500 0.500
I: 0.500 0.500 0.000
Br: 0.000 0.500 0.500
Br: 0.500 0.000 0.500